This entry pairs a crystal structure of LiCo2P4H3O14 with its calculated powder diffraction line list. Radiation: a wavelength of 1.5418 Å. Structure: a crystal structure in Alexandria, relaxed with PBE+U.
No peak broadening, texture or thermal motion is included.

Principal peaks in the range 2θ from 10° to 90°, in order of rising 2θ:
h k l  Position (°2θ)  intensity
1 1 0  11.7  42
1 1 -1  12.3  100
2 2 -1  21.1  44
3 1 -2  26.2  32
0 2 2  27.3  78
1 3 -2  28.8  20
1 1 2  30.8  20
2 4 -1  32.0  21
3 3 -1  32.1  36
5 3 -3  46.9  17

Cell and atoms:
Unit cell a=11.0986 b=12.9884 c=9.0346 alpha=90.00 beta=123.12 gamma=90.00
Space group Cc (No. 9)
Inequivalent atoms, fractional coordinates:
Li 0.0000 0.1428 0.0000
Co 0.0067 0.0916 0.5105
Co 0.2548 0.2511 0.7609
P 0.0769 0.2854 0.3305
P 0.2316 0.0448 0.9473
P 0.2802 0.4567 0.5707
P 0.4347 0.2162 0.1912
H 0.1620 0.3940 0.9534
H 0.2344 0.2481 0.2515
H 0.3461 0.1051 0.5578
O 0.0952 0.3116 0.7971
O 0.1042 0.0299 0.9651
O 0.1220 0.2158 0.4890
O 0.1244 0.2396 0.2088
O 0.1636 0.3909 0.3997
O 0.1922 0.1031 0.7795
O 0.1997 0.4430 0.0587
O 0.3081 0.0570 0.4531
O 0.3185 0.3983 0.7377
O 0.3503 0.1081 0.1164
O 0.3842 0.2607 0.3047
O 0.3940 0.2835 0.0296
O 0.4074 0.4707 0.5529
O 0.4171 0.1908 0.7197